# La4Co
Computed X-ray diffraction stick pattern, Cu Kα, 1.54184 Å. Input: a cell relaxed with PBE.
Intensities are scaled so that the largest is 100.

Lattice parameters (Å, degrees): 7.860 7.860 7.860 60.00 60.00 60.00
Sites, in units of the cell vectors:
La 0.226 0.758 0.758
La 0.242 0.242 0.242
La 0.242 0.242 0.774
La 0.242 0.774 0.242
La 0.758 0.226 0.758
La 0.758 0.758 0.226
La 0.758 0.758 0.758
La 0.774 0.242 0.242
Co 0.375 0.375 0.375
Co 0.625 0.625 0.625

Peak list (12 most intense, 15° ≤ 2θ ≤ 90°, low angle first)
Position (°2θ)	intensity
22.63	4
27.80	100
32.21	39
35.19	7
42.25	7
46.20	44
54.78	42
57.44	9
67.40	7
74.40	15
76.68	11
85.61	13

# La2Co3
Computed X-ray diffraction stick pattern, Cu Kα, 1.54184 Å. Input: a cell relaxed with PBE.
Intensities are scaled so that the largest is 100.

Lattice parameters (Å, degrees): 5.693 5.693 7.743 90.00 90.00 130.15
Sites, in units of the cell vectors:
La 0.150 0.850 0.912
La 0.350 0.650 0.412
La 0.650 0.350 0.588
La 0.850 0.150 0.088
Co 0.000 0.000 0.500
Co 0.161 0.339 0.750
Co 0.339 0.161 0.250
Co 0.500 0.500 0.000
Co 0.661 0.839 0.750
Co 0.839 0.661 0.250

Peak list (12 most intense, 15° ≤ 2θ ≤ 90°, low angle first)
Position (°2θ)	intensity
23.45	17
30.92	63
34.08	100
34.75	16
36.70	17
39.02	58
43.19	39
44.42	28
53.82	20
64.11	13
65.46	14
66.91	14

# LaMg6Co
Computed X-ray diffraction stick pattern, Cu Kα, 1.54184 Å. Input: a cell relaxed with PBE.
Intensities are scaled so that the largest is 100.

Lattice parameters (Å, degrees): 4.891 6.604 6.604 58.59 90.00 90.00
Sites, in units of the cell vectors:
La 0.000 0.000 0.000
Mg 0.000 0.470 0.470
Mg 0.000 0.473 0.996
Mg 0.000 0.996 0.473
Mg 0.500 0.141 0.610
Mg 0.500 0.610 0.141
Mg 0.500 0.638 0.638
Co 0.500 0.146 0.146

Peak list (12 most intense, 15° ≤ 2θ ≤ 90°, low angle first)
Position (°2θ)	intensity
15.38	18
15.72	69
23.87	26
24.09	26
31.75	34
32.73	27
36.20	53
36.79	100
40.19	13
46.14	13
49.34	19
69.41	14

# LaMg6Co
Computed X-ray diffraction stick pattern, Cu Kα, 1.54184 Å. Input: a cell relaxed with PBE.
Intensities are scaled so that the largest is 100.

Lattice parameters (Å, degrees): 4.962 7.060 7.060 48.32 90.00 90.00
Sites, in units of the cell vectors:
La 0.000 0.000 0.000
Mg 0.000 0.002 0.497
Mg 0.000 0.497 0.002
Mg 0.500 0.142 0.626
Mg 0.500 0.164 0.164
Mg 0.500 0.593 0.593
Mg 0.500 0.626 0.142
Co 0.000 0.435 0.435

Peak list (12 most intense, 15° ≤ 2θ ≤ 90°, low angle first)
Position (°2θ)	intensity
16.81	31
17.88	49
22.62	44
24.64	35
31.61	55
33.16	73
34.00	48
36.21	49
38.25	28
38.67	100
42.52	23
50.51	31

# LaNdCo10
Computed X-ray diffraction stick pattern, Cu Kα, 1.54184 Å. Input: a cell relaxed with PBE.
Intensities are scaled so that the largest is 100.

Lattice parameters (Å, degrees): 3.978 5.021 8.706 90.00 90.00 90.00
Sites, in units of the cell vectors:
La 0.000 0.000 0.000
Nd 0.000 0.500 0.500
Co 0.000 0.000 0.333
Co 0.000 0.000 0.667
Co 0.000 0.500 0.167
Co 0.000 0.500 0.833
Co 0.500 0.000 0.500
Co 0.500 0.251 0.252
Co 0.500 0.251 0.748
Co 0.500 0.500 0.000
Co 0.500 0.749 0.252
Co 0.500 0.749 0.748

Peak list (12 most intense, 15° ≤ 2θ ≤ 90°, low angle first)
Position (°2θ)	intensity
30.45	47
35.75	32
41.51	35
42.57	100
45.61	26
47.65	7
59.26	14
60.97	13
63.36	19
68.92	22
75.73	16
82.23	19

# LaCoNi4
Computed X-ray diffraction stick pattern, Cu Kα, 1.54184 Å. Input: a cell relaxed with PBE.
Intensities are scaled so that the largest is 100.

Lattice parameters (Å, degrees): 4.964 4.964 3.975 90.00 90.00 118.86
Sites, in units of the cell vectors:
La 0.000 0.000 0.000
Co 0.500 0.500 0.500
Ni 0.000 0.500 0.500
Ni 0.337 0.663 0.000
Ni 0.500 0.000 0.500
Ni 0.663 0.337 0.000

Peak list (12 most intense, 15° ≤ 2θ ≤ 90°, low angle first)
Position (°2θ)	intensity
30.47	41
30.71	25
35.56	16
36.20	32
41.55	37
42.29	16
42.41	54
42.97	100
45.64	41
63.41	20
68.98	23
76.83	16